(1)
Ba2Hg5Pd4: calculated powder XRD pattern (CuKα), based on a DFT-relaxed cell (PBE, Alexandria).
Peak positions follow from Bragg's law for the DFT cell and can differ from measured ones.

Structural model:
Cell: 10.1646 9.2227 6.0891 Å, 80.36 63.45 36.20°
Fractional positions:
Ba: 0.1429 0.1429 0.8571
Ba: 0.8571 0.8571 0.1429
Hg: 0.0000 0.0000 0.5000
Hg: 0.2500 0.2500 0.2500
Hg: 0.5000 0.5000 0.0000
Hg: 0.5000 0.5000 0.5000
Hg: 0.7500 0.7500 0.7500
Pd: 0.2172 0.5265 0.4735
Pd: 0.4735 0.7828 0.2172
Pd: 0.5265 0.2172 0.7828
Pd: 0.7828 0.4735 0.5265

Most intense lines, 10° ≤ 2θ ≤ 90°, sorted by position:
two_theta, intensity
16.86, 47
26.60, 62
33.24, 86
33.83, 89
35.82, 100
39.84, 80
40.07, 56
41.53, 52
54.60, 39
60.86, 37

(2)
Ba6HgPd: calculated powder XRD pattern (CuKα), based on a DFT-relaxed cell (PBE, Alexandria).
Peak positions follow from Bragg's law for the DFT cell and can differ from measured ones.

Structural model:
Cell: 8.0561 8.0561 15.4966 Å, 90.00 90.00 120.00°
Fractional positions:
Ba: 0.0091 0.3264 0.1200
Ba: 0.0091 0.6827 0.3800
Ba: 0.3173 0.3264 0.3800
Ba: 0.3173 0.9909 0.1200
Ba: 0.3264 0.0091 0.6200
Ba: 0.3264 0.3173 0.8800
Ba: 0.6736 0.6827 0.1200
Ba: 0.6736 0.9909 0.3800
Ba: 0.6827 0.0091 0.8800
Ba: 0.6827 0.6736 0.6200
Ba: 0.9909 0.3173 0.6200
Ba: 0.9909 0.6736 0.8800
Hg: 0.3333 0.6667 0.7500
Hg: 0.6667 0.3333 0.2500
Pd: 0.0000 0.0000 0.0000
Pd: 0.0000 0.0000 0.5000

Most intense lines, 10° ≤ 2θ ≤ 90°, sorted by position:
two_theta, intensity
13.92, 19
17.10, 23
24.91, 100
32.05, 55
38.72, 39
41.53, 24
46.59, 17
51.11, 14
62.14, 14
62.39, 18

(3)
BaHg6Pd3: calculated powder XRD pattern (CuKα), based on a DFT-relaxed cell (PBE, Alexandria).
Peak positions follow from Bragg's law for the DFT cell and can differ from measured ones.

Structural model:
Cell: 6.1317 6.1351 8.1541 Å, 68.03 67.97 60.07°
Fractional positions:
Ba: 0.0000 0.0000 0.0000
Hg: 0.1031 0.6509 0.6862
Hg: 0.3975 0.8983 0.2910
Hg: 0.4131 0.3986 0.2911
Hg: 0.5608 0.1022 0.6861
Hg: 0.6504 0.5598 0.6869
Hg: 0.8971 0.4147 0.2911
Pd: 0.1409 0.1418 0.5755
Pd: 0.3358 0.3360 0.9907
Pd: 0.6699 0.6704 0.9909

Most intense lines, 10° ≤ 2θ ≤ 90°, sorted by position:
two_theta, intensity
26.26, 28
31.60, 45
33.99, 100
36.68, 49
37.58, 77
38.21, 85
39.58, 59
39.65, 29
54.04, 33
60.34, 41

(4)
Ba3HgPd3: calculated powder XRD pattern (CuKα), based on a DFT-relaxed cell (PBE, Alexandria).
Peak positions follow from Bragg's law for the DFT cell and can differ from measured ones.

Structural model:
Cell: 9.6412 9.6412 6.3624 Å, 90.00 90.00 120.00°
Fractional positions:
Ba: 0.0510 0.6967 0.2500
Ba: 0.3033 0.3544 0.2500
Ba: 0.3544 0.0510 0.7500
Ba: 0.6456 0.9490 0.2500
Ba: 0.6967 0.6456 0.7500
Ba: 0.9490 0.3033 0.7500
Hg: 0.3333 0.6667 0.7500
Hg: 0.6667 0.3333 0.2500
Pd: 0.0540 0.6829 0.7500
Pd: 0.3171 0.3711 0.7500
Pd: 0.3711 0.0540 0.2500
Pd: 0.6289 0.9460 0.7500
Pd: 0.6829 0.6289 0.2500
Pd: 0.9460 0.3171 0.2500

Most intense lines, 10° ≤ 2θ ≤ 90°, sorted by position:
two_theta, intensity
10.60, 30
17.52, 43
25.52, 26
28.05, 72
28.28, 40
31.65, 20
32.16, 100
40.25, 31
43.19, 88
67.87, 23

(5)
Ba8HgPd4: calculated powder XRD pattern (CuKα), based on a DFT-relaxed cell (PBE, Alexandria).
Peak positions follow from Bragg's law for the DFT cell and can differ from measured ones.

Structural model:
Cell: 9.0529 9.0529 11.2102 Å, 126.17 126.17 62.45°
Fractional positions:
Ba: 0.1916 0.6979 0.6673
Ba: 0.1934 0.1934 0.1630
Ba: 0.3021 0.8084 0.3327
Ba: 0.3036 0.3036 0.8327
Ba: 0.6964 0.6964 0.1673
Ba: 0.6979 0.1916 0.6673
Ba: 0.8066 0.8066 0.8370
Ba: 0.8084 0.3021 0.3327
Hg: 0.5000 0.5000 0.5000
Pd: 0.2526 0.7474 0.0000
Pd: 0.2542 0.2542 0.5014
Pd: 0.7458 0.7458 0.4986
Pd: 0.7474 0.2526 0.0000

Most intense lines, 10° ≤ 2θ ≤ 90°, sorted by position:
two_theta, intensity
11.43, 21
12.30, 15
24.76, 100
31.94, 86
38.40, 54
41.46, 28
46.23, 18
50.78, 23
62.20, 19
65.40, 16

(6)
Ba3Hg3Pd2: calculated powder XRD pattern (CuKα), based on a DFT-relaxed cell (PBE, Alexandria).
Peak positions follow from Bragg's law for the DFT cell and can differ from measured ones.

Structural model:
Cell: 6.4203 6.4203 17.7060 Å, 90.00 90.00 137.26°
Fractional positions:
Ba: 0.0734 0.9266 0.6022
Ba: 0.0734 0.9266 0.8978
Ba: 0.3523 0.6477 0.7500
Ba: 0.6477 0.3523 0.2500
Ba: 0.9266 0.0734 0.1022
Ba: 0.9266 0.0734 0.3978
Hg: 0.3562 0.6438 0.2500
Hg: 0.3566 0.6434 0.5379
Hg: 0.3566 0.6434 0.9621
Hg: 0.6434 0.3566 0.0379
Hg: 0.6434 0.3566 0.4621
Hg: 0.6438 0.3562 0.7500
Pd: 0.2237 0.7763 0.1139
Pd: 0.2237 0.7763 0.3861
Pd: 0.7763 0.2237 0.6139
Pd: 0.7763 0.2237 0.8861

Most intense lines, 10° ≤ 2θ ≤ 90°, sorted by position:
two_theta, intensity
28.75, 100
29.44, 53
29.88, 42
30.30, 30
33.20, 62
35.88, 55
36.26, 29
38.48, 51
38.65, 24
57.43, 30

(7)
Ba2HgPd9: calculated powder XRD pattern (CuKα), based on a DFT-relaxed cell (PBE, Alexandria).
Peak positions follow from Bragg's law for the DFT cell and can differ from measured ones.

Structural model:
Cell: 9.7439 9.7439 9.7439 Å, 32.87 32.87 32.87°
Fractional positions:
Ba: 0.1368 0.1368 0.1368
Ba: 0.8632 0.8632 0.8632
Hg: 0.0000 0.0000 0.0000
Pd: 0.0809 0.5809 0.5809
Pd: 0.3326 0.3326 0.3326
Pd: 0.4191 0.4191 0.9191
Pd: 0.4191 0.9191 0.4191
Pd: 0.5000 0.5000 0.5000
Pd: 0.5809 0.0809 0.5809
Pd: 0.5809 0.5809 0.0809
Pd: 0.6674 0.6674 0.6674
Pd: 0.9191 0.4191 0.4191

Most intense lines, 10° ≤ 2θ ≤ 90°, sorted by position:
two_theta, intensity
29.36, 27
31.98, 32
32.48, 34
37.82, 37
38.04, 100
38.26, 17
39.13, 21
41.19, 24
61.66, 24
68.01, 25

(8)
Ba6HgPdPt: calculated powder XRD pattern (CuKα), based on a DFT-relaxed cell (PBE, Alexandria).
Peak positions follow from Bragg's law for the DFT cell and can differ from measured ones.

Structural model:
Cell: 8.1130 8.1130 15.3580 Å, 90.00 90.00 120.00°
Fractional positions:
Ba: 0.0033 0.3510 0.1343
Ba: 0.0033 0.6523 0.3657
Ba: 0.3477 0.3510 0.3657
Ba: 0.3477 0.9967 0.1343
Ba: 0.3510 0.0033 0.6343
Ba: 0.3510 0.3477 0.8657
Ba: 0.6490 0.6523 0.1343
Ba: 0.6490 0.9967 0.3657
Ba: 0.6523 0.0033 0.8657
Ba: 0.6523 0.6490 0.6343
Ba: 0.9967 0.3477 0.6343
Ba: 0.9967 0.6490 0.8657
Hg: 0.0000 0.0000 0.0000
Hg: 0.0000 0.0000 0.5000
Pd: 0.3333 0.6667 0.7500
Pd: 0.6667 0.3333 0.2500
Pt: 0.3333 0.6667 0.2500
Pt: 0.6667 0.3333 0.7500

Most intense lines, 10° ≤ 2θ ≤ 90°, sorted by position:
two_theta, intensity
17.11, 65
24.82, 100
27.93, 19
32.10, 91
35.78, 23
38.44, 56
41.72, 25
50.92, 24
62.56, 24
65.56, 22

(9)
Ba2PmHg3: calculated powder XRD pattern (CuKα), based on a DFT-relaxed cell (PBE, Alexandria).
Peak positions follow from Bragg's law for the DFT cell and can differ from measured ones.

Structural model:
Cell: 4.0301 4.0301 12.3731 Å, 90.00 90.00 90.00°
Fractional positions:
Ba: 0.0000 0.0000 0.1787
Ba: 0.0000 0.0000 0.8213
Pm: 0.0000 0.0000 0.5000
Hg: 0.5000 0.5000 0.0000
Hg: 0.5000 0.5000 0.3628
Hg: 0.5000 0.5000 0.6372

Most intense lines, 10° ≤ 2θ ≤ 90°, sorted by position:
two_theta, intensity
31.03, 100
31.39, 56
43.90, 6
44.99, 21
54.96, 13
55.65, 39
64.67, 8
65.51, 7
74.25, 8
74.45, 10

(10)
Ba2PrHg4: calculated powder XRD pattern (CuKα), based on a DFT-relaxed cell (PBE, Alexandria).
Peak positions follow from Bragg's law for the DFT cell and can differ from measured ones.

Structural model:
Cell: 8.5018 8.5018 8.5018 Å, 140.42 140.42 57.22°
Fractional positions:
Ba: 0.2251 0.2251 0.0000
Ba: 0.7749 0.7749 0.0000
Pr: 0.5000 0.5000 0.0000
Hg: 0.1043 0.6043 0.5000
Hg: 0.3957 0.8957 0.5000
Hg: 0.6043 0.1043 0.5000
Hg: 0.8957 0.3957 0.5000

Most intense lines, 10° ≤ 2θ ≤ 90°, sorted by position:
two_theta, intensity
21.83, 18
23.63, 14
24.91, 18
31.07, 74
32.55, 100
42.59, 13
44.51, 28
48.35, 10
56.22, 43
73.58, 13